(1)
For MnZnNi14, a crystal structure in Alexandria, relaxed with PBE gives the theoretical powder XRD pattern in this record (λ = 1.5418 Å (Cu Kα)).
Kinematic intensities with the Lorentz-polarization factor, no thermal factor.

Most intense lines, 5° ≤ 2θ ≤ 70°, by intensity:
2θ/deg, Rel. int.
47.3, 1000
44.2, 538
47.5, 478
43.0, 434
43.2, 221
53.9, 214

Crystal structure
```
16
Lattice="8.1889 0.0000 0.0000 0.0000 2.5180 4.3342 0.0000 -2.5180 4.3342" Properties=species:S:1:pos:R:3 pbc="T T T"
Mn 0.0000 0.0000 0.0000
Zn 0.0000 0.0000 4.3403
Ni 0.0000 -1.2562 6.4980
Ni 0.0000 1.2562 6.4980
Ni 2.0576 0.0000 2.8703
Ni 2.0540 0.0000 7.2099
Ni 2.0733 -1.2646 5.0537
Ni 2.0733 1.2646 5.0537
Ni 4.0944 0.0000 1.4345
Ni 4.0944 -1.2604 3.5971
Ni 4.0944 1.2604 3.5971
Ni 4.0944 0.0000 5.7652
Ni 6.1155 -1.2646 5.0537
Ni 6.1155 1.2646 5.0537
Ni 6.1313 0.0000 2.8703
Ni 6.1349 0.0000 7.2099
```

=====

(2)
For CaTaV, a crystal structure in Alexandria, relaxed with PBE gives the theoretical powder XRD pattern in this record (λ = 1.5418 Å (Cu Kα)).
Kinematic intensities with the Lorentz-polarization factor, no thermal factor.

Most intense lines, 5° ≤ 2θ ≤ 70°, by intensity:
2θ/deg, Rel. int.
8.2, 1000
37.2, 203
28.1, 189
40.9, 151
33.2, 106
35.2, 93

Crystal structure
```
6
Lattice="1.6957 -10.8036 0.0000 1.6957 10.8036 0.0000 0.0000 0.0000 3.9340" Properties=species:S:1:pos:R:3 pbc="T T T"
Ca 1.6957 6.9479 2.9505
Ca 1.6957 -6.9479 0.9835
Ta 1.6957 1.3490 2.9505
Ta 1.6957 -1.3490 0.9835
V 1.6957 9.9722 2.9505
V 1.6957 -9.9722 0.9835
```

=====

(3)
For PrHo2Sn9, a crystal structure in Alexandria, relaxed with PBE gives the theoretical powder XRD pattern in this record (λ = 1.5418 Å (Cu Kα)).
Kinematic intensities with the Lorentz-polarization factor, no thermal factor.

Most intense lines, 5° ≤ 2θ ≤ 70°, by intensity:
2θ/deg, Rel. int.
32.7, 1000
38.2, 333
65.6, 281
54.7, 237
37.6, 171
64.8, 141

Crystal structure
```
12
Lattice="4.7149 0.0000 0.0000 0.0000 4.7149 0.0000 0.0000 0.0000 14.3478" Properties=species:S:1:pos:R:3 pbc="T T T"
Pr 0.0000 0.0000 0.0000
Ho 0.0000 0.0000 4.7910
Ho 0.0000 0.0000 9.5568
Sn 0.0000 2.3575 2.4670
Sn 0.0000 2.3575 7.1739
Sn 0.0000 2.3575 11.8808
Sn 2.3575 0.0000 2.4670
Sn 2.3575 0.0000 7.1739
Sn 2.3575 0.0000 11.8808
Sn 2.3575 2.3575 0.0000
Sn 2.3575 2.3575 4.8243
Sn 2.3575 2.3575 9.5236
```

=====

(4)
For Hf4RePd3, a crystal structure in Alexandria, relaxed with PBE gives the theoretical powder XRD pattern in this record (λ = 1.5418 Å (Cu Kα)).
Kinematic intensities with the Lorentz-polarization factor, no thermal factor.

Most intense lines, 5° ≤ 2θ ≤ 70°, by intensity:
2θ/deg, Rel. int.
38.3, 1000
38.6, 496
69.6, 347
69.1, 172
55.7, 171
54.9, 86

Crystal structure
```
8
Lattice="3.2999 0.0000 0.0000 0.0000 3.2999 0.0000 0.0000 0.0000 13.3682" Properties=species:S:1:pos:R:3 pbc="T T T"
Hf 0.0000 0.0000 1.5801
Hf 0.0000 0.0000 5.0054
Hf 0.0000 0.0000 8.3629
Hf 0.0000 0.0000 11.7882
Re 1.6500 1.6500 0.0000
Pd 1.6500 1.6500 3.3078
Pd 1.6500 1.6500 6.6841
Pd 1.6500 1.6500 10.0604
```

=====

(5)
For Er4Mg3Al, a crystal structure in Alexandria, relaxed with PBE gives the theoretical powder XRD pattern in this record (λ = 1.5418 Å (Cu Kα)).
Kinematic intensities with the Lorentz-polarization factor, no thermal factor.

Most intense lines, 5° ≤ 2θ ≤ 70°, by intensity:
2θ/deg, Rel. int.
34.2, 1000
32.8, 896
23.0, 629
14.3, 344
50.7, 322
36.2, 264

Crystal structure
```
8
Lattice="3.3918 0.0000 0.0000 0.0000 4.9606 0.0000 0.0000 0.0000 12.3989" Properties=species:S:1:pos:R:3 pbc="T T T"
Er 0.0000 0.0000 0.0000
Er 0.0000 2.4803 4.0843
Er 1.6959 0.0000 5.9984
Er 1.6959 2.4803 10.4124
Mg 0.0000 0.0000 9.0378
Mg 0.0000 2.4803 7.3890
Mg 1.6959 2.4803 1.2690
Al 1.6959 0.0000 2.8635
```